Computed powder diffraction line list of BeReCl for λ = 1.5418 Å (Cu Kα), from a crystal structure in Alexandria, relaxed with GGA-PBE.
Kinematic intensities with the Lorentz-polarization factor, no thermal factor.

Structural model:
```
BeReCl
1.0
4.8447 0.0000 0.0000
0.0000 2.7978 0.0000
-2.2082 0.0000 7.8792
Be Re Cl
2 2 2
Direct
0.0000 0.0000 0.0000
0.5000 0.5000 0.0000
0.2142 0.0000 0.7391
0.7142 0.5000 0.7391
0.2418 0.5000 0.1650
0.7418 0.0000 0.1650
```

Peak list (10 most intense, 5 to 70 degrees two-theta, in order of rising 2θ)
Position (°2θ), I/Imax
11.2, 100
22.6, 38
34.1, 11
37.5, 12
37.6, 22
38.6, 11
39.2, 9
40.8, 20
41.2, 11
47.7, 10

---

Computed powder diffraction line list of La2Sm2Ho4Tm for λ = 1.5418 Å (Cu Kα), from a crystal structure in Alexandria, relaxed with GGA-PBE.
Kinematic intensities with the Lorentz-polarization factor, no thermal factor.

Structural model:
```
La2Sm2Ho4Tm
1.0
9.3961 -1.8138 0.0000
9.3961 1.8138 0.0000
-4.1770 0.0000 8.6773
La Sm Ho Tm
2 2 4 1
Direct
0.1645 0.1645 0.0006
0.8355 0.8355 0.9994
0.3532 0.3532 0.3375
0.6468 0.6468 0.6625
0.0202 0.0202 0.3335
0.3151 0.3151 0.6624
0.6849 0.6849 0.3376
0.9798 0.9798 0.6665
0.5000 0.5000 0.0000
```

Peak list (10 most intense, 5 to 70 degrees two-theta, in order of rising 2θ)
Position (°2θ), I/Imax
28.7, 36
29.3, 18
30.9, 51
31.7, 100
33.3, 92
50.4, 26
54.4, 21
57.6, 20
60.2, 16
60.3, 31

---

Computed powder diffraction line list of TiNiGeRh for λ = 1.5418 Å (Cu Kα), from a crystal structure in Alexandria, relaxed with GGA-PBE.
Kinematic intensities with the Lorentz-polarization factor, no thermal factor.

Structural model:
```
TiNiGeRh
1.0
3.8611 0.0000 0.0000
0.0000 3.8611 0.0000
0.0000 0.0000 7.3557
Ti Ni Ge Rh
2 2 2 2
Direct
0.0000 0.0000 0.0000
0.5000 0.5000 0.5000
0.0000 0.5000 0.7500
0.5000 0.0000 0.2500
0.0000 0.0000 0.5000
0.5000 0.5000 0.0000
0.0000 0.5000 0.2500
0.5000 0.0000 0.7500
```

Peak list (10 most intense, 5 to 70 degrees two-theta, in order of rising 2θ)
Position (°2θ), I/Imax
24.2, 3
26.1, 9
32.8, 3
41.2, 100
43.7, 2
47.1, 34
49.6, 14
54.6, 3
66.2, 2
68.8, 10

---

Computed powder diffraction line list of K2PH4S3O2 for λ = 1.5418 Å (Cu Kα), from a crystal structure in Alexandria, relaxed with GGA-PBE.
Kinematic intensities with the Lorentz-polarization factor, no thermal factor.

Structural model:
```
K2PH4S3O2
1.0
7.9983 0.0000 0.0000
0.0000 11.4837 0.0000
-7.4904 0.0000 9.2336
K P H S O
8 4 16 12 8
Direct
0.0113 0.2227 0.1064
0.0113 0.2773 0.6064
0.4821 0.1513 0.5262
0.4821 0.3487 0.0262
0.5179 0.6513 0.9738
0.5179 0.8487 0.4738
0.9887 0.7227 0.3936
0.9887 0.7773 0.8936
0.3619 0.0362 0.8875
0.3619 0.4638 0.3875
0.6381 0.5362 0.6125
0.6381 0.9638 0.1125
0.0811 0.5060 0.9159
0.0811 0.9940 0.4159
0.1272 0.5201 0.7069
0.1272 0.9799 0.2069
0.2242 0.5549 0.0768
0.2242 0.9451 0.5768
0.3261 0.5007 0.7121
0.3261 0.9993 0.2121
0.6739 0.0007 0.7879
0.6739 0.4993 0.2879
0.7758 0.0549 0.4232
0.7758 0.4451 0.9232
0.8728 0.0201 0.7931
0.8728 0.4799 0.2931
0.9189 0.0060 0.5841
0.9189 0.4940 0.0841
0.1638 0.1281 0.9074
0.1638 0.3719 0.4074
0.2115 0.6060 0.2566
0.2115 0.8940 0.7566
0.4986 0.1427 0.8289
0.4986 0.3573 0.3289
0.5014 0.6427 0.6711
0.5014 0.8573 0.1711
0.7885 0.1060 0.2434
0.7885 0.3940 0.7434
0.8362 0.6281 0.5926
0.8362 0.8719 0.0926
0.2106 0.5534 0.9879
0.2106 0.9466 0.4879
0.2610 0.0272 0.2555
0.2610 0.4728 0.7555
0.7390 0.5272 0.2445
0.7390 0.9728 0.7445
0.7894 0.0534 0.5121
0.7894 0.4466 0.0121
```

Peak list (10 most intense, 5 to 70 degrees two-theta, in order of rising 2θ)
Position (°2θ), I/Imax
15.1, 100
26.7, 97
28.5, 71
30.1, 68
30.4, 89
31.4, 90
32.0, 75
32.8, 72
33.0, 55
34.2, 79

---

Computed powder diffraction line list of YPa4Sb5 for λ = 1.5418 Å (Cu Kα), from a crystal structure in Alexandria, relaxed with GGA-PBE.
Kinematic intensities with the Lorentz-polarization factor, no thermal factor.

Structural model:
```
YPa4Sb5
1.0
-4.8780 4.8780 3.0850
4.8780 -4.8780 3.0850
4.8780 4.8780 -3.0850
Y Pa Sb
1 4 5
Direct
0.0000 0.0000 0.0000
0.2000 0.6002 0.8001
0.3998 0.2000 0.5998
0.6002 0.8000 0.4002
0.8000 0.3998 0.1999
0.1000 0.2989 0.3990
0.2989 0.9000 0.1989
0.5000 0.5000 0.0000
0.7011 0.1000 0.8011
0.9000 0.7011 0.6010
```

Peak list (10 most intense, 5 to 70 degrees two-theta, in order of rising 2θ)
Position (°2θ), I/Imax
12.8, 3
17.0, 3
25.0, 12
28.9, 100
41.4, 77
49.0, 6
51.3, 28
60.0, 13
66.0, 3
67.9, 36

---

Computed powder diffraction line list of AlSiF for λ = 1.5418 Å (Cu Kα), from a crystal structure in Alexandria, relaxed with GGA-PBE.
Kinematic intensities with the Lorentz-polarization factor, no thermal factor.

Structural model:
```
AlSiF
1.0
3.8145 0.0000 0.0000
0.0000 4.6630 0.0000
0.0000 0.0000 10.2432
Al Si F
4 4 4
Direct
0.0000 0.2500 0.0768
0.0000 0.7500 0.9232
0.5000 0.2500 0.4232
0.5000 0.7500 0.5768
0.0000 0.2500 0.8159
0.0000 0.7500 0.1841
0.5000 0.2500 0.6841
0.5000 0.7500 0.3159
0.0000 0.2500 0.4296
0.0000 0.7500 0.5704
0.5000 0.2500 0.0704
0.5000 0.7500 0.9296
```

Peak list (10 most intense, 5 to 70 degrees two-theta, in order of rising 2θ)
Position (°2θ), I/Imax
24.9, 20
32.5, 100
35.1, 14
35.3, 21
38.6, 56
47.0, 28
47.7, 29
48.5, 22
58.9, 31
63.0, 27

---

Computed powder diffraction line list of DyNp3Sb4 for λ = 1.5418 Å (Cu Kα), from a crystal structure in Alexandria, relaxed with GGA-PBE.
Kinematic intensities with the Lorentz-polarization factor, no thermal factor.

Structural model:
```
DyNp3Sb4
1.0
8.8081 0.0000 0.0000
0.0000 12.4217 0.0000
0.0000 0.0000 4.3833
Dy Np Sb
2 6 8
Direct
0.0000 0.0000 0.0000
0.5000 0.5000 0.0000
0.0000 0.5000 0.0000
0.2500 0.2500 0.5000
0.2500 0.7500 0.5000
0.5000 0.0000 0.0000
0.7500 0.2500 0.5000
0.7500 0.7500 0.5000
0.0000 0.2493 0.0000
0.0000 0.7507 0.0000
0.2496 0.0000 0.5000
0.2504 0.5000 0.5000
0.5000 0.2507 0.0000
0.5000 0.7493 0.0000
0.7504 0.0000 0.5000
0.7496 0.5000 0.5000
```

Peak list (10 most intense, 5 to 70 degrees two-theta, in order of rising 2θ)
Position (°2θ), I/Imax
24.8, 14
28.7, 100
41.0, 13
41.1, 64
50.8, 14
51.0, 14
59.5, 13
67.3, 6
67.4, 24
67.5, 6

---

Computed powder diffraction line list of Ho7Cu2Ir2 for λ = 1.5418 Å (Cu Kα), from a crystal structure in Alexandria, relaxed with GGA-PBE.
Kinematic intensities with the Lorentz-polarization factor, no thermal factor.

Structural model:
```
Ho7Cu2Ir2
1.0
3.9132 -5.2898 0.0000
3.9132 5.2898 0.0000
0.0000 0.0000 6.9886
Ho Cu Ir
7 2 2
Direct
0.0000 0.0000 0.0000
0.0000 0.5000 0.2614
0.0000 0.5000 0.7386
0.5000 0.0000 0.2614
0.5000 0.0000 0.7386
0.5000 0.5000 0.2555
0.5000 0.5000 0.7445
0.1823 0.1823 0.5000
0.8177 0.8177 0.5000
0.2877 0.7123 0.0000
0.7123 0.2877 0.0000
```

Peak list (10 most intense, 5 to 70 degrees two-theta, in order of rising 2θ)
Position (°2θ), I/Imax
12.7, 28
26.1, 40
28.4, 37
29.2, 28
30.6, 21
33.9, 52
34.4, 26
38.0, 43
38.5, 100
46.4, 24

---

Computed powder diffraction line list of SrPrNpN3 for λ = 1.5418 Å (Cu Kα), from a crystal structure in Alexandria, relaxed with GGA-PBE.
Kinematic intensities with the Lorentz-polarization factor, no thermal factor.

Structural model:
```
SrPrNpN3
1.0
7.8164 0.0000 0.0000
0.0000 3.7132 0.0000
-1.2727 0.0000 8.6431
Sr Pr Np N
2 2 2 6
Direct
0.1655 0.2500 0.1360
0.8345 0.7500 0.8640
0.3919 0.7500 0.8399
0.6081 0.2500 0.1601
0.0559 0.2500 0.5929
0.9441 0.7500 0.4071
0.0918 0.2500 0.8232
0.2010 0.7500 0.5749
0.4026 0.7500 0.1145
0.5974 0.2500 0.8855
0.7990 0.2500 0.4251
0.9082 0.7500 0.1768
```

Peak list (10 most intense, 5 to 70 degrees two-theta, in order of rising 2θ)
Position (°2θ), I/Imax
11.4, 46
14.2, 100
16.5, 19
22.1, 18
28.6, 33
29.2, 24
31.8, 55
33.5, 46
34.8, 19
48.7, 31

---

Computed powder diffraction line list of Ag5Hg3 for λ = 1.5418 Å (Cu Kα), from a crystal structure in Alexandria, relaxed with GGA-PBE.
Kinematic intensities with the Lorentz-polarization factor, no thermal factor.

Structural model:
```
Ag5Hg3
1.0
8.3219 0.0000 0.0000
0.0000 8.5539 0.0000
0.0000 0.0000 4.4018
Ag Hg
10 6
Direct
0.0000 0.0000 0.0000
0.2471 0.5000 0.5000
0.2500 0.2500 0.0000
0.2500 0.7500 0.0000
0.2529 0.0000 0.5000
0.5000 0.5000 0.0000
0.7471 0.0000 0.5000
0.7500 0.2500 0.0000
0.7500 0.7500 0.0000
0.7529 0.5000 0.5000
0.0000 0.2386 0.5000
0.0000 0.5000 0.0000
0.0000 0.7614 0.5000
0.5000 0.0000 0.0000
0.5000 0.2614 0.5000
0.5000 0.7386 0.5000
```

Peak list (10 most intense, 5 to 70 degrees two-theta, in order of rising 2θ)
Position (°2θ), I/Imax
21.4, 5
25.1, 2
29.1, 4
36.4, 100
41.0, 18
42.3, 16
43.5, 15
60.4, 11
61.3, 11
62.3, 10

---

Computed powder diffraction line list of LiB6H6 for λ = 1.5418 Å (Cu Kα), from a crystal structure in Alexandria, relaxed with GGA-PBE.
Kinematic intensities with the Lorentz-polarization factor, no thermal factor.

Structural model:
```
LiB6H6
1.0
6.6923 0.0000 0.0000
0.0000 9.4804 0.0000
-6.5140 0.0000 7.3836
Li B H
4 24 24
Direct
0.1281 0.1771 0.2233
0.1281 0.3229 0.7233
0.8719 0.6771 0.2767
0.8719 0.8229 0.7767
0.1845 0.0450 0.8985
0.1845 0.4550 0.3985
0.2566 0.5940 0.3149
0.2566 0.9060 0.8149
0.3233 0.0831 0.7986
0.3233 0.4169 0.2986
0.3317 0.6133 0.5243
0.3317 0.8867 0.0243
0.4402 0.1738 0.9984
0.4402 0.3262 0.4984
0.4431 0.0520 0.1368
0.4431 0.4480 0.6368
0.5569 0.5520 0.3632
0.5569 0.9480 0.8632
0.5598 0.6738 0.5016
0.5598 0.8262 0.0016
0.6683 0.1133 0.9757
0.6683 0.3867 0.4757
0.6767 0.5831 0.7014
0.6767 0.9169 0.2014
0.7434 0.0940 0.1851
0.7434 0.4060 0.6851
0.8155 0.5450 0.6015
0.8155 0.9550 0.1015
0.0434 0.5749 0.6784
0.0434 0.9251 0.1784
0.0802 0.6597 0.1826
0.0802 0.8403 0.6826
0.1962 0.1406 0.6535
0.1962 0.3594 0.1535
0.2130 0.6951 0.5426
0.2130 0.8049 0.0426
0.4021 0.2018 0.4989
0.4021 0.2982 0.9989
0.4141 0.0856 0.2408
0.4141 0.4144 0.7408
0.5859 0.5856 0.2592
0.5859 0.9144 0.7592
0.5979 0.7018 0.0011
0.5979 0.7982 0.5011
0.7870 0.1951 0.9574
0.7870 0.3049 0.4574
0.8038 0.6406 0.8465
0.8038 0.8594 0.3465
0.9198 0.1597 0.3174
0.9198 0.3403 0.8174
0.9566 0.0749 0.8216
0.9566 0.4251 0.3216
```

Peak list (10 most intense, 5 to 70 degrees two-theta, in order of rising 2θ)
Position (°2θ), I/Imax
15.2, 100
16.2, 56
17.7, 12
18.1, 16
18.7, 6
30.7, 2
31.1, 2
32.8, 2
38.0, 2
43.3, 2

---

Computed powder diffraction line list of Rb3Sn2Pb4 for λ = 1.5418 Å (Cu Kα), from a crystal structure in Alexandria, relaxed with GGA-PBE.
Kinematic intensities with the Lorentz-polarization factor, no thermal factor.

Structural model:
```
Rb3Sn2Pb4
1.0
8.9178 -6.1197 0.0000
8.9178 6.1197 0.0000
-3.2762 0.0000 7.0085
Rb Sn Pb
6 4 8
Direct
0.0411 0.9589 0.7500
0.2802 0.5061 0.9016
0.4939 0.7198 0.5984
0.5061 0.2802 0.4016
0.7198 0.4939 0.0984
0.9589 0.0411 0.2500
0.0854 0.3426 0.4240
0.3426 0.0854 0.9240
0.6574 0.9146 0.0760
0.9146 0.6574 0.5760
0.0840 0.3267 0.0175
0.1522 0.5829 0.3727
0.3267 0.0840 0.5175
0.4171 0.8478 0.1273
0.5829 0.1522 0.8727
0.6733 0.9160 0.4825
0.8478 0.4171 0.6273
0.9160 0.6733 0.9825
```

Peak list (10 most intense, 5 to 70 degrees two-theta, in order of rising 2θ)
Position (°2θ), I/Imax
11.0, 100
17.5, 28
19.3, 26
24.8, 29
27.0, 59
28.6, 50
31.9, 46
35.4, 25
36.2, 34
37.5, 27